MgTi3Nb2Pb6O18: simulated powder diffraction line list (a wavelength of 1.5418 Å), based on the PBE geometry in Alexandria.
No peak broadening, texture or thermal motion is included.

The 10 most intense peaks (10° ≤ 2θ ≤ 90°), in order of falling intensity:
| index | 2θ/deg | d (Å) | Rel. int. |
| --- | --- | --- | --- |
| 1 1 0 | 31.42 | 2.848 | 100 |
| 3 0 0 | 55.96 | 1.643 | 30 |
| 0 1 2 | 22.07 | 4.027 | 30 |
| 0 2 4 | 45.02 | 2.014 | 29 |
| 2 0 2 | 38.73 | 2.325 | 23 |
| 1 3 4 | 74.51 | 1.273 | 17 |
| 1 2 2 | 50.69 | 1.801 | 15 |
| 0 1 8 | 55.84 | 1.646 | 10 |
| 2 2 0 | 65.63 | 1.423 | 9 |
| 2 0 8 | 65.50 | 1.425 | 9 |

a b c (Å): 5.6904 5.6904 13.9740
angles (deg): 90.00 90.00 120.00
Space group P-3m1 (No. 164)
Asymmetric unit:
Mg 0.0000 0.0000 0.0000 [1 per cell]
Ti 0.0000 0.0000 0.5000 [1 per cell]
Ti 0.3333 0.6667 0.6630 [2 per cell]
Nb 0.3333 0.6667 0.1619 [2 per cell]
Pb 0.0000 0.0000 0.2558 [2 per cell]
Pb 0.3333 0.6667 0.4199 [2 per cell]
Pb 0.3333 0.6667 0.9074 [2 per cell]
O 0.0066 0.5033 0.7446 [6 per cell]
O 0.1664 0.3327 0.5812 [6 per cell]
O 0.1675 0.3350 0.0889 [6 per cell]


Mg2Nb2SbO8: simulated powder diffraction line list (a wavelength of 1.5418 Å), based on the PBE geometry in Alexandria.
No peak broadening, texture or thermal motion is included.

The 10 most intense peaks (10° ≤ 2θ ≤ 90°), in order of falling intensity:
| index | 2θ/deg | d (Å) | Rel. int. |
| --- | --- | --- | --- |
| 3 1 1 | 26.51 | 3.362 | 100 |
| 3 1 -1 | 25.34 | 3.515 | 98 |
| 5 1 1 | 32.24 | 2.777 | 71 |
| 5 1 -1 | 30.59 | 2.923 | 58 |
| 8 2 1 | 50.99 | 1.791 | 54 |
| 0 2 1 | 34.37 | 2.609 | 53 |
| 3 1 0 | 19.79 | 4.486 | 52 |
| 0 0 2 | 33.56 | 2.670 | 38 |
| 8 2 -1 | 49.17 | 1.853 | 33 |
| 0 2 3 | 60.52 | 1.530 | 24 |

a b c (Å): 20.400 5.981 5.353
angles (deg): 90.00 93.95 90.00
Space group C2/c (No. 15)
Asymmetric unit:
Mg 0.229 0.148 0.240 [8 per cell]
Nb 0.123 0.332 0.726 [8 per cell]
Sb 0.000 0.176 0.250 [4 per cell]
O 0.059 0.096 0.607 [8 per cell]
O 0.077 0.418 0.017 [8 per cell]
O 0.188 0.394 0.441 [8 per cell]
O 0.196 0.139 0.871 [8 per cell]


Mg2TiNbO6: simulated powder diffraction line list (a wavelength of 1.5418 Å), based on the PBE geometry in Alexandria.
No peak broadening, texture or thermal motion is included.

The 10 most intense peaks (10° ≤ 2θ ≤ 90°), in order of falling intensity:
| index | 2θ/deg | d (Å) | Rel. int. |
| --- | --- | --- | --- |
| 1 1 1 | 30.16 | 2.964 | 100 |
| 0 0 1 | 18.96 | 4.679 | 89 |
| 1 1 0 | 23.23 | 3.829 | 66 |
| 1 1 2 | 45.43 | 1.997 | 46 |
| 2 2 0 | 47.49 | 1.915 | 45 |
| 2 0 0 | 33.08 | 2.708 | 41 |
| 2 2 1 | 51.60 | 1.771 | 37 |
| 3 1 1 | 57.29 | 1.608 | 31 |
| 3 1 2 | 67.82 | 1.382 | 26 |
| 2 0 3 | 69.55 | 1.352 | 22 |

a b c (Å): 5.416 5.416 4.679
angles (deg): 90.00 90.00 90.00
Space group P4mm (No. 99)
Asymmetric unit:
Mg 0.000 0.500 0.000 [2 per cell]
Ti 0.000 0.000 0.701 [1 per cell]
Nb 0.500 0.500 0.681 [1 per cell]
O 0.000 0.000 0.332 [1 per cell]
O 0.248 0.248 0.833 [4 per cell]
O 0.500 0.500 0.294 [1 per cell]


Mg6TiNbO8: simulated powder diffraction line list (a wavelength of 1.5418 Å), based on the PBE geometry in Alexandria.
No peak broadening, texture or thermal motion is included.

The 10 most intense peaks (10° ≤ 2θ ≤ 90°), in order of falling intensity:
| index | 2θ/deg | d (Å) | Rel. int. |
| --- | --- | --- | --- |
| 2 0 0 | 41.63 | 2.170 | 100 |
| 2 2 0 | 60.28 | 1.535 | 87 |
| 0 0 4 | 41.52 | 2.175 | 50 |
| 0 0 2 | 20.45 | 4.343 | 47 |
| 1 1 2 | 35.82 | 2.507 | 47 |
| 1 0 2 | 29.08 | 3.071 | 38 |
| 2 2 4 | 75.90 | 1.254 | 27 |
| 2 0 2 | 46.78 | 1.942 | 19 |
| 0 0 1 | 10.17 | 8.699 | 16 |
| 3 1 2 | 72.19 | 1.309 | 15 |

a b c (Å): 4.339 4.339 8.699
angles (deg): 90.00 90.00 90.00
Space group P4/mmm (No. 123)
Asymmetric unit:
Mg 0.000 0.000 0.000 [1 per cell]
Mg 0.000 0.000 0.500 [1 per cell]
Mg 0.000 0.500 0.248 [4 per cell]
Ti 0.500 0.500 0.000 [1 per cell]
Nb 0.500 0.500 0.500 [1 per cell]
O 0.000 0.000 0.250 [2 per cell]
O 0.000 0.500 0.000 [2 per cell]
O 0.000 0.500 0.500 [2 per cell]
O 0.500 0.500 0.240 [2 per cell]


Mg6NbZnO8: simulated powder diffraction line list (a wavelength of 1.5418 Å), based on the PBE geometry in Alexandria.
No peak broadening, texture or thermal motion is included.

The 10 most intense peaks (10° ≤ 2θ ≤ 90°), in order of falling intensity:
| index | 2θ/deg | d (Å) | Rel. int. |
| --- | --- | --- | --- |
| 2 0 0 | 41.83 | 2.159 | 100 |
| 0 0 1 | 10.06 | 8.796 | 84 |
| 2 0 4 | 60.04 | 1.541 | 59 |
| 1 1 2 | 35.80 | 2.509 | 56 |
| 0 0 4 | 41.04 | 2.199 | 52 |
| 1 1 1 | 31.00 | 2.885 | 31 |
| 2 2 0 | 60.65 | 1.527 | 29 |
| 2 2 4 | 75.85 | 1.254 | 27 |
| 0 0 2 | 20.19 | 4.398 | 23 |
| 1 1 0 | 29.24 | 3.054 | 18 |

a b c (Å): 4.319 4.319 8.796
angles (deg): 90.00 90.00 90.00
Space group P4/mmm (No. 123)
Asymmetric unit:
Mg 0.000 0.000 0.000 [1 per cell]
Mg 0.000 0.500 0.242 [4 per cell]
Mg 0.500 0.500 0.000 [1 per cell]
Nb 0.000 0.000 0.500 [1 per cell]
Zn 0.500 0.500 0.500 [1 per cell]
O 0.000 0.000 0.239 [2 per cell]
O 0.000 0.500 0.000 [2 per cell]
O 0.000 0.500 0.500 [2 per cell]
O 0.500 0.500 0.239 [2 per cell]


MgNbPd5: simulated powder diffraction line list (a wavelength of 1.5418 Å), based on the PBE geometry in Alexandria.
No peak broadening, texture or thermal motion is included.

The 10 most intense peaks (10° ≤ 2θ ≤ 90°), in order of falling intensity:
| index | 2θ/deg | d (Å) | Rel. int. |
| --- | --- | --- | --- |
| 1 1 2 | 40.24 | 2.241 | 100 |
| 2 0 0 | 45.09 | 2.011 | 36 |
| 3 1 2 | 79.90 | 1.201 | 26 |
| 0 0 1 | 12.15 | 7.282 | 24 |
| 2 0 4 | 69.68 | 1.350 | 18 |
| 1 1 1 | 33.84 | 2.649 | 16 |
| 0 0 4 | 50.11 | 1.820 | 13 |
| 2 2 0 | 65.67 | 1.422 | 12 |
| 2 2 4 | 86.94 | 1.121 | 10 |
| 1 1 6 | 87.36 | 1.116 | 10 |

a b c (Å): 4.021 4.021 7.282
angles (deg): 90.00 90.00 90.00
Space group P4/mmm (No. 123)
Asymmetric unit:
Mg 0.000 0.000 0.000 [1 per cell]
Nb 0.500 0.500 0.500 [1 per cell]
Pd 0.000 0.000 0.500 [1 per cell]
Pd 0.000 0.500 0.239 [4 per cell]


Repeat the first record exactly.
MgTi3Nb2Pb6O18: simulated powder diffraction line list (a wavelength of 1.5418 Å), based on the PBE geometry in Alexandria.
No peak broadening, texture or thermal motion is included.

The 10 most intense peaks (10° ≤ 2θ ≤ 90°), in order of falling intensity:
| index | 2θ/deg | d (Å) | Rel. int. |
| --- | --- | --- | --- |
| 1 1 0 | 31.42 | 2.848 | 100 |
| 3 0 0 | 55.96 | 1.643 | 30 |
| 0 1 2 | 22.07 | 4.027 | 30 |
| 0 2 4 | 45.02 | 2.014 | 29 |
| 2 0 2 | 38.73 | 2.325 | 23 |
| 1 3 4 | 74.51 | 1.273 | 17 |
| 1 2 2 | 50.69 | 1.801 | 15 |
| 0 1 8 | 55.84 | 1.646 | 10 |
| 2 2 0 | 65.63 | 1.423 | 9 |
| 2 0 8 | 65.50 | 1.425 | 9 |

a b c (Å): 5.6904 5.6904 13.9740
angles (deg): 90.00 90.00 120.00
Space group P-3m1 (No. 164)
Asymmetric unit:
Mg 0.0000 0.0000 0.0000 [1 per cell]
Ti 0.0000 0.0000 0.5000 [1 per cell]
Ti 0.3333 0.6667 0.6630 [2 per cell]
Nb 0.3333 0.6667 0.1619 [2 per cell]
Pb 0.0000 0.0000 0.2558 [2 per cell]
Pb 0.3333 0.6667 0.4199 [2 per cell]
Pb 0.3333 0.6667 0.9074 [2 per cell]
O 0.0066 0.5033 0.7446 [6 per cell]
O 0.1664 0.3327 0.5812 [6 per cell]
O 0.1675 0.3350 0.0889 [6 per cell]